[1]
Starting from a crystal structure in Alexandria, relaxed with GGA-PBE, the powder X-ray diffraction pattern of Ac2Sn2Bi was computed for Cu Kα, 1.54184 Å.
Neutral-atom scattering factors, no anomalous dispersion.

Top 10 peaks for 10° ≤ 2θ ≤ 90°, in order of falling intensity:
| 2θ/deg | d (Å) | I_rel |
| --- | --- | --- |
| 27.95 | 3.192 | 100 |
| 29.16 | 3.062 | 60 |
| 33.68 | 2.661 | 45 |
| 49.71 | 1.834 | 29 |
| 52.42 | 1.746 | 26 |
| 38.94 | 2.313 | 24 |
| 32.03 | 2.794 | 23 |
| 39.34 | 2.291 | 23 |
| 25.40 | 3.506 | 20 |
| 64.55 | 1.444 | 17 |

Structural model:
```
Ac2Sn2Bi
1.0
2.2906 -8.1719 0.0000
2.2906 8.1719 0.0000
0.0000 0.0000 4.6259
Ac Sn Bi
2 2 1
Cartesian
2.2906 6.0596 0.0000 Ac
2.2906 -6.0596 0.0000 Ac
2.2906 3.1763 2.3129 Sn
2.2906 -3.1763 2.3129 Sn
2.2906 0.0000 2.3129 Bi
```

***

[2]
Starting from a crystal structure in Alexandria, relaxed with GGA-PBE, the powder X-ray diffraction pattern of Ac10Sn3Bi3 was computed for Cu Kα, 1.54184 Å.
Neutral-atom scattering factors, no anomalous dispersion.

Top 10 peaks for 10° ≤ 2θ ≤ 90°, in order of falling intensity:
| 2θ/deg | d (Å) | I_rel |
| --- | --- | --- |
| 30.03 | 2.976 | 100 |
| 30.57 | 2.924 | 85 |
| 31.05 | 2.880 | 47 |
| 27.31 | 3.266 | 33 |
| 46.90 | 1.937 | 30 |
| 44.13 | 2.052 | 24 |
| 60.54 | 1.529 | 22 |
| 26.77 | 3.330 | 21 |
| 59.29 | 1.559 | 17 |
| 49.15 | 1.854 | 17 |

Structural model:
```
Ac10Sn3Bi3
1.0
9.9779 0.0000 0.0000
-4.9890 8.6411 0.0000
0.0000 0.0000 7.2176
Ac Sn Bi
10 3 3
Cartesian
-1.2233 2.1189 0.0000 Ac
-3.7658 6.5226 3.6088 Ac
2.4467 0.0000 0.0000 Ac
1.2232 2.1186 3.6088 Ac
0.0000 5.7608 1.8217 Ac
0.0000 5.7608 5.3959 Ac
4.9890 2.8804 1.8217 Ac
4.9890 2.8804 5.3959 Ac
7.5316 0.0000 3.6088 Ac
3.7656 6.5222 0.0000 Ac
-1.9529 3.3825 3.6088 Sn
3.9058 0.0000 3.6088 Sn
3.0361 5.2586 3.6088 Sn
-3.0419 5.2687 0.0000 Bi
1.9471 3.3724 0.0000 Bi
6.0838 0.0000 0.0000 Bi
```

***

[3]
Starting from a crystal structure in Alexandria, relaxed with GGA-PBE, the powder X-ray diffraction pattern of AcSnBi was computed for Cu Kα, 1.54184 Å.
Neutral-atom scattering factors, no anomalous dispersion.

Top 10 peaks for 10° ≤ 2θ ≤ 90°, in order of falling intensity:
| 2θ/deg | d (Å) | I_rel |
| --- | --- | --- |
| 30.54 | 2.927 | 100 |
| 28.77 | 3.103 | 18 |
| 37.34 | 2.408 | 17 |
| 39.32 | 2.291 | 15 |
| 47.82 | 1.902 | 15 |
| 63.17 | 1.472 | 13 |
| 63.58 | 1.463 | 13 |
| 52.07 | 1.756 | 12 |
| 65.89 | 1.418 | 12 |
| 55.34 | 1.660 | 11 |

Structural model:
```
AcSnBi
1.0
2.4081 -9.3099 0.0000
2.4081 9.3099 0.0000
0.0000 0.0000 4.5827
Ac Sn Bi
2 2 2
Cartesian
2.4081 7.3754 3.4370 Ac
2.4081 -7.3754 1.1457 Ac
2.4081 0.9517 3.4370 Sn
2.4081 -0.9517 1.1457 Sn
2.4081 4.6234 1.1457 Bi
2.4081 -4.6234 3.4370 Bi
```

***

[4]
Starting from a crystal structure in Alexandria, relaxed with GGA-PBE, the powder X-ray diffraction pattern of Ac2SnBi4 was computed for Cu Kα, 1.54184 Å.
Neutral-atom scattering factors, no anomalous dispersion.

Top 10 peaks for 10° ≤ 2θ ≤ 90°, in order of falling intensity:
| 2θ/deg | d (Å) | I_rel |
| --- | --- | --- |
| 30.91 | 2.893 | 100 |
| 51.78 | 1.766 | 18 |
| 35.57 | 2.524 | 17 |
| 35.76 | 2.511 | 17 |
| 36.20 | 2.481 | 17 |
| 61.25 | 1.513 | 15 |
| 51.32 | 1.780 | 13 |
| 17.61 | 5.035 | 10 |
| 60.94 | 1.520 | 8 |
| 61.05 | 1.518 | 8 |

Structural model:
```
Ac2SnBi4
1.0
4.9623 -5.0225 0.0000
4.9623 5.0225 0.0000
-4.9466 0.0000 5.0484
Ac Sn Bi
2 1 4
Cartesian
2.4812 2.5112 0.0000 Ac
2.4812 -2.5112 0.0000 Ac
-2.4733 0.0000 2.5242 Sn
0.0000 0.0000 0.0000 Bi
0.0078 2.5112 2.5242 Bi
0.0078 -2.5112 2.5242 Bi
4.9623 0.0000 0.0000 Bi
```

***

[5]
Starting from a crystal structure in Alexandria, relaxed with GGA-PBE, the powder X-ray diffraction pattern of SrAc4Bi5 was computed for Cu Kα, 1.54184 Å.
Neutral-atom scattering factors, no anomalous dispersion.

Top 10 peaks for 10° ≤ 2θ ≤ 90°, in order of falling intensity:
| 2θ/deg | d (Å) | I_rel |
| --- | --- | --- |
| 25.83 | 3.450 | 100 |
| 36.87 | 2.438 | 67 |
| 59.99 | 1.542 | 34 |
| 45.47 | 1.995 | 15 |
| 66.43 | 1.407 | 15 |
| 45.61 | 1.989 | 15 |
| 36.74 | 2.446 | 14 |
| 66.24 | 1.411 | 10 |
| 53.06 | 1.726 | 10 |
| 84.33 | 1.148 | 10 |

Structural model:
```
SrAc4Bi5
1.0
-2.4355 3.4458 12.2311
2.4355 -3.4458 12.2311
2.4355 3.4458 -12.2311
Sr Ac Bi
1 4 5
Cartesian
0.0000 0.0000 0.0000 Sr
0.0000 0.0000 4.8752 Ac
0.0000 0.0000 9.8244 Ac
0.0000 0.0000 14.6378 Ac
0.0000 0.0000 19.5871 Ac
2.4355 0.0000 2.4858 Bi
2.4355 0.0000 7.3520 Bi
0.0000 3.4458 0.0000 Bi
0.0000 3.4458 4.8791 Bi
0.0000 3.4458 9.7453 Bi
```

***

[6]
Starting from a crystal structure in Alexandria, relaxed with GGA-PBE, the powder X-ray diffraction pattern of SrAc2Bi was computed for Cu Kα, 1.54184 Å.
Neutral-atom scattering factors, no anomalous dispersion.

Top 10 peaks for 10° ≤ 2θ ≤ 90°, in order of falling intensity:
| 2θ/deg | d (Å) | I_rel |
| --- | --- | --- |
| 26.31 | 3.388 | 100 |
| 30.38 | 2.942 | 84 |
| 33.75 | 2.656 | 82 |
| 23.85 | 3.731 | 64 |
| 41.05 | 2.199 | 58 |
| 61.72 | 1.503 | 34 |
| 39.49 | 2.282 | 29 |
| 23.48 | 3.789 | 23 |
| 54.15 | 1.694 | 22 |
| 41.72 | 2.165 | 21 |

Structural model:
```
SrAc2Bi
1.0
2.1990 1.2696 12.3525
-2.1990 1.2696 12.3525
0.0000 -2.5391 12.3525
Sr Ac Bi
1 2 1
Cartesian
0.0000 0.0000 0.0000 Sr
0.0000 0.0000 4.0237 Ac
0.0000 0.0000 33.0338 Ac
0.0000 0.0000 18.5288 Bi
```

***

[7]
Starting from a crystal structure in Alexandria, relaxed with GGA-PBE, the powder X-ray diffraction pattern of Ac2TaBi was computed for Cu Kα, 1.54184 Å.
Neutral-atom scattering factors, no anomalous dispersion.

Top 10 peaks for 10° ≤ 2θ ≤ 90°, in order of falling intensity:
| 2θ/deg | d (Å) | I_rel |
| --- | --- | --- |
| 30.88 | 2.896 | 100 |
| 33.17 | 2.701 | 42 |
| 57.83 | 1.594 | 35 |
| 53.42 | 1.715 | 22 |
| 47.61 | 1.910 | 15 |
| 64.34 | 1.448 | 13 |
| 40.64 | 2.220 | 12 |
| 87.13 | 1.119 | 12 |
| 67.92 | 1.380 | 11 |
| 78.08 | 1.224 | 7 |

Structural model:
```
Ac2TaBi
1.0
5.4020 0.0000 0.0000
0.0000 5.4020 0.0000
0.0000 0.0000 4.4401
Ac Ta Bi
2 1 1
Cartesian
0.0000 2.7010 0.0000 Ac
2.7010 0.0000 0.0000 Ac
0.0000 0.0000 2.2201 Ta
2.7010 2.7010 2.2201 Bi
```

***

[8]
Starting from a crystal structure in Alexandria, relaxed with GGA-PBE, the powder X-ray diffraction pattern of Ac4TbBi5 was computed for Cu Kα, 1.54184 Å.
Neutral-atom scattering factors, no anomalous dispersion.

Top 10 peaks for 10° ≤ 2θ ≤ 90°, in order of falling intensity:
| 2θ/deg | d (Å) | I_rel |
| --- | --- | --- |
| 37.40 | 2.405 | 100 |
| 26.24 | 3.396 | 83 |
| 26.14 | 3.410 | 42 |
| 46.24 | 1.963 | 37 |
| 60.98 | 1.519 | 32 |
| 67.51 | 1.387 | 23 |
| 60.79 | 1.524 | 17 |
| 85.66 | 1.134 | 13 |
| 67.36 | 1.390 | 12 |
| 54.00 | 1.698 | 11 |

Structural model:
```
Ac4TbBi5
1.0
-5.3698 5.3698 3.4096
5.3698 -5.3698 3.4096
5.3698 5.3698 -3.4096
Ac Tb Bi
4 1 5
Cartesian
3.2252 1.0292 0.0000 Ac
4.3406 -2.1447 3.4096 Ac
1.0292 7.5145 0.0000 Ac
2.1447 4.3406 3.4096 Ac
0.0000 0.0000 3.4096 Tb
0.0000 0.0000 0.0000 Bi
6.4109 2.2752 0.0000 Bi
2.2752 4.3288 0.0000 Bi
3.0947 1.0411 3.4096 Bi
-1.0411 3.0947 3.4096 Bi
```

***

[9]
Starting from a crystal structure in Alexandria, relaxed with GGA-PBE, the powder X-ray diffraction pattern of AcTcBi was computed for Cu Kα, 1.54184 Å.
Neutral-atom scattering factors, no anomalous dispersion.

Top 10 peaks for 10° ≤ 2θ ≤ 90°, in order of falling intensity:
| 2θ/deg | d (Å) | I_rel |
| --- | --- | --- |
| 26.22 | 3.399 | 100 |
| 32.40 | 2.763 | 69 |
| 38.37 | 2.346 | 63 |
| 35.11 | 2.556 | 43 |
| 23.49 | 3.787 | 43 |
| 41.59 | 2.171 | 32 |
| 32.81 | 2.730 | 31 |
| 55.53 | 1.655 | 26 |
| 54.69 | 1.678 | 23 |
| 31.34 | 2.854 | 22 |

Structural model:
```
AcTcBi
1.0
5.6570 0.0000 0.0000
0.0000 4.3425 0.0000
-2.0555 0.0000 7.5730
Ac Tc Bi
2 2 2
Cartesian
0.7220 1.0856 1.8016 Ac
2.8795 3.2569 5.7714 Ac
0.2752 3.2569 7.2502 Tc
3.3263 1.0856 0.3229 Tc
0.0188 1.0856 5.2813 Bi
3.5826 3.2569 2.2918 Bi
```

***

[10]
Starting from a crystal structure in Alexandria, relaxed with GGA-PBE, the powder X-ray diffraction pattern of Ac6BiTe5 was computed for Cu Kα, 1.54184 Å.
Neutral-atom scattering factors, no anomalous dispersion.

Top 10 peaks for 10° ≤ 2θ ≤ 90°, in order of falling intensity:
| 2θ/deg | d (Å) | I_rel |
| --- | --- | --- |
| 26.50 | 3.364 | 100 |
| 37.82 | 2.379 | 79 |
| 61.63 | 1.505 | 26 |
| 46.80 | 1.941 | 22 |
| 68.34 | 1.373 | 21 |
| 54.56 | 1.682 | 14 |
| 86.90 | 1.121 | 13 |
| 61.71 | 1.503 | 13 |
| 46.69 | 1.945 | 7 |
| 22.91 | 3.882 | 7 |

Structural model:
```
Ac6BiTe5
1.0
4.1152 -7.1312 0.0000
4.1152 7.1312 0.0000
-2.7440 0.0000 7.7819
Ac Bi Te
6 1 5
Cartesian
-0.0042 2.3792 5.8280 Ac
1.3635 0.0000 1.9491 Ac
-0.0042 -2.3792 5.8280 Ac
5.4907 2.3792 1.9539 Ac
4.1229 0.0000 5.8327 Ac
5.4907 -2.3792 1.9539 Ac
4.1152 0.0000 0.0000 Bi
-1.3720 0.0000 3.8909 Te
4.1152 4.7485 0.0000 Te
2.7432 2.3637 3.8909 Te
2.7432 -2.3637 3.8909 Te
4.1152 -4.7485 0.0000 Te
```

***

[11]
Starting from a crystal structure in Alexandria, relaxed with GGA-PBE, the powder X-ray diffraction pattern of Ac4BiTe3 was computed for Cu Kα, 1.54184 Å.
Neutral-atom scattering factors, no anomalous dispersion.

Top 10 peaks for 10° ≤ 2θ ≤ 90°, in order of falling intensity:
| 2θ/deg | d (Å) | I_rel |
| --- | --- | --- |
| 26.44 | 3.371 | 100 |
| 37.74 | 2.384 | 79 |
| 61.50 | 1.508 | 39 |
| 46.66 | 1.946 | 29 |
| 68.13 | 1.376 | 29 |
| 86.63 | 1.124 | 20 |
| 54.43 | 1.686 | 14 |
| 80.60 | 1.192 | 9 |
| 22.84 | 3.893 | 8 |
| 44.57 | 2.033 | 4 |

Structural model:
```
Ac4BiTe3
1.0
6.7428 0.0000 0.0000
0.0000 6.7428 0.0000
0.0000 0.0000 6.7428
Ac Bi Te
4 1 3
Cartesian
0.0000 0.0000 0.0000 Ac
0.0000 3.3714 3.3714 Ac
3.3714 0.0000 3.3714 Ac
3.3714 3.3714 0.0000 Ac
3.3714 3.3714 3.3714 Bi
0.0000 0.0000 3.3714 Te
0.0000 3.3714 0.0000 Te
3.3714 0.0000 0.0000 Te
```

***

[12]
Starting from a crystal structure in Alexandria, relaxed with GGA-PBE, the powder X-ray diffraction pattern of Ac3BiTe3 was computed for Cu Kα, 1.54184 Å.
Neutral-atom scattering factors, no anomalous dispersion.

Top 10 peaks for 10° ≤ 2θ ≤ 90°, in order of falling intensity:
| 2θ/deg | d (Å) | I_rel |
| --- | --- | --- |
| 26.46 | 3.369 | 100 |
| 37.77 | 2.382 | 79 |
| 61.56 | 1.506 | 39 |
| 46.71 | 1.945 | 29 |
| 68.19 | 1.375 | 29 |
| 13.14 | 6.737 | 29 |
| 86.72 | 1.123 | 20 |
| 29.65 | 3.013 | 18 |
| 54.48 | 1.684 | 14 |
| 40.15 | 2.246 | 10 |

Structural model:
```
Ac3BiTe3
1.0
6.7372 0.0000 0.0000
0.0000 6.7372 0.0000
0.0000 0.0000 6.7372
Ac Bi Te
3 1 3
Cartesian
0.0000 0.0000 3.3686 Ac
0.0000 3.3686 0.0000 Ac
3.3686 0.0000 0.0000 Ac
0.0000 0.0000 0.0000 Bi
0.0000 3.3686 3.3686 Te
3.3686 0.0000 3.3686 Te
3.3686 3.3686 0.0000 Te
```

***

[13]
Starting from a crystal structure in Alexandria, relaxed with GGA-PBE, the powder X-ray diffraction pattern of AcBiTe was computed for Cu Kα, 1.54184 Å.
Neutral-atom scattering factors, no anomalous dispersion.

Top 10 peaks for 10° ≤ 2θ ≤ 90°, in order of falling intensity:
| 2θ/deg | d (Å) | I_rel |
| --- | --- | --- |
| 26.03 | 3.423 | 100 |
| 33.71 | 2.659 | 48 |
| 29.35 | 3.043 | 34 |
| 44.89 | 2.019 | 21 |
| 35.43 | 2.533 | 20 |
| 35.91 | 2.501 | 19 |
| 38.80 | 2.321 | 19 |
| 49.38 | 1.845 | 17 |
| 62.14 | 1.494 | 16 |
| 14.56 | 6.086 | 14 |

Structural model:
```
AcBiTe
1.0
7.9410 -3.3206 0.0000
7.9410 3.3206 0.0000
-1.3448 0.0000 4.4429
Ac Bi Te
2 2 2
Cartesian
2.2862 0.0000 0.6906 Ac
12.2510 0.0000 3.7523 Ac
7.2686 1.8321 2.2215 Bi
7.2686 -1.8321 2.2215 Bi
3.9054 0.0000 3.6073 Te
10.6318 0.0000 0.8357 Te
```

***

[14]
Starting from a crystal structure in Alexandria, relaxed with GGA-PBE, the powder X-ray diffraction pattern of Ac3BiTe6 was computed for Cu Kα, 1.54184 Å.
Neutral-atom scattering factors, no anomalous dispersion.

Top 10 peaks for 10° ≤ 2θ ≤ 90°, in order of falling intensity:
| 2θ/deg | d (Å) | I_rel |
| --- | --- | --- |
| 20.97 | 4.237 | 100 |
| 29.08 | 3.071 | 63 |
| 31.55 | 2.836 | 60 |
| 35.12 | 2.556 | 59 |
| 31.12 | 2.874 | 56 |
| 21.17 | 4.196 | 35 |
| 40.15 | 2.246 | 32 |
| 42.56 | 2.124 | 26 |
| 53.93 | 1.700 | 24 |
| 28.53 | 3.129 | 22 |

Structural model:
```
Ac3BiTe6
1.0
6.3720 -7.9942 0.0000
6.3720 7.9942 0.0000
0.0000 0.0000 8.0485
Ac Bi Te
6 2 12
Cartesian
6.3720 6.4277 4.0243 Ac
4.0397 1.5978 3.2076 Ac
4.0397 -1.5978 7.2318 Ac
8.7044 1.5978 3.2076 Ac
8.7044 -1.5978 7.2318 Ac
6.3720 -6.4277 0.0000 Ac
6.3720 2.7815 7.0585 Bi
6.3720 -2.7815 3.0342 Bi
4.2362 4.1598 5.5341 Te
2.0848 0.5062 5.6381 Te
2.0848 -0.5062 1.6139 Te
6.3720 3.7159 1.9547 Te
8.5078 4.1598 5.5341 Te
6.3720 0.1271 5.1865 Te
6.3720 -0.1271 1.1623 Te
4.2362 -4.1598 1.5098 Te
6.3720 -3.7159 5.9789 Te
10.6593 0.5062 5.6381 Te
10.6593 -0.5062 1.6139 Te
8.5078 -4.1598 1.5098 Te
```